Calculated powder diffractogram of ZrPbO3 for Cu Kα, 1.54184 Å, from a PBE-relaxed structure.
Peak positions follow from Bragg's law for the DFT cell and can differ from measured ones.

Most intense lines, 10° ≤ 2θ ≤ 90°, sorted by position:
two_theta  I/Imax
21.27  15
30.15  20
30.28  100
37.20  6
37.36  6
43.32  31
53.65  24
53.85  27
62.93  12
71.40  14
87.21  8
87.46  9

Crystal structure
```
data_ZrPbO3
_chemical_formula_sum 'Zr4 Pb4 O12'
_space_group_name_H-M_alt 'P 1'
_space_group_IT_number 1
_space_group_name_Hall 'P 1'
_cell_length_a 5.927
_cell_length_b 8.354
_cell_length_c 5.889
_cell_angle_alpha 90.00
_cell_angle_beta 90.00
_cell_angle_gamma 90.00
loop_
_atom_site_label
_atom_site_fract_x
_atom_site_fract_y
_atom_site_fract_z
Zr1 0.000 0.000 0.000
Zr2 0.000 0.500 0.000
Zr3 0.500 0.000 0.500
Zr4 0.500 0.500 0.500
Pb1 0.024 0.250 0.493
Pb2 0.476 0.750 0.993
Pb3 0.524 0.250 0.007
Pb4 0.976 0.750 0.507
O1 0.016 0.750 0.077
O2 0.212 0.540 0.712
O3 0.212 0.960 0.712
O4 0.288 0.040 0.212
O5 0.288 0.460 0.212
O6 0.484 0.250 0.577
O7 0.516 0.750 0.423
O8 0.712 0.540 0.788
O9 0.712 0.960 0.788
O10 0.788 0.040 0.288
O11 0.788 0.460 0.288
O12 0.984 0.250 0.923
```

=====

Calculated powder diffractogram of SiO2 for Cu Kα, 1.54184 Å, from a PBE-relaxed structure.
Peak positions follow from Bragg's law for the DFT cell and can differ from measured ones.

Most intense lines, 10° ≤ 2θ ≤ 90°, sorted by position:
two_theta  I/Imax
13.61  80
18.08  18
20.96  100
22.00  87
22.69  44
23.05  28
25.07  15
25.61  30
29.17  29
31.08  12
37.36  15
57.98  13

Crystal structure
```
data_SiO2
_chemical_formula_sum 'Si20 O40'
_space_group_name_H-M_alt 'P 1'
_space_group_IT_number 1
_space_group_name_Hall 'P 1'
_cell_length_a 13.913
_cell_length_b 13.913
_cell_length_c 8.477
_cell_angle_alpha 90.00
_cell_angle_beta 90.00
_cell_angle_gamma 138.69
loop_
_atom_site_label
_atom_site_fract_x
_atom_site_fract_y
_atom_site_fract_z
Si1 0.059 0.941 0.559
Si2 0.059 0.941 0.941
Si3 0.066 0.347 0.562
Si4 0.066 0.347 0.938
Si5 0.223 0.777 0.566
Si6 0.223 0.777 0.934
Si7 0.336 0.664 0.064
Si8 0.336 0.664 0.436
Si9 0.347 0.066 0.062
Si10 0.347 0.066 0.438
Si11 0.653 0.934 0.562
Si12 0.653 0.934 0.938
Si13 0.664 0.336 0.564
Si14 0.664 0.336 0.936
Si15 0.777 0.223 0.066
Si16 0.777 0.223 0.434
Si17 0.934 0.653 0.062
Si18 0.934 0.653 0.438
Si19 0.941 0.059 0.059
Si20 0.941 0.059 0.441
O1 0.000 0.000 0.000
O2 0.000 0.000 0.500
O3 0.038 0.335 0.750
O4 0.050 0.223 0.508
O5 0.050 0.223 0.992
O6 0.053 0.675 0.530
O7 0.053 0.675 0.970
O8 0.062 0.938 0.750
O9 0.223 0.050 0.008
O10 0.223 0.050 0.492
O11 0.228 0.506 0.519
O12 0.228 0.506 0.981
O13 0.240 0.760 0.750
O14 0.274 0.726 0.043
O15 0.274 0.726 0.457
O16 0.325 0.947 0.530
O17 0.325 0.947 0.970
O18 0.335 0.038 0.250
O19 0.349 0.651 0.250
O20 0.494 0.772 0.519
O21 0.494 0.772 0.981
O22 0.506 0.228 0.019
O23 0.506 0.228 0.481
O24 0.651 0.349 0.750
O25 0.665 0.962 0.750
O26 0.675 0.053 0.030
O27 0.675 0.053 0.470
O28 0.726 0.274 0.543
O29 0.726 0.274 0.957
O30 0.760 0.240 0.250
O31 0.772 0.494 0.019
O32 0.772 0.494 0.481
O33 0.777 0.950 0.508
O34 0.777 0.950 0.992
O35 0.938 0.062 0.250
O36 0.947 0.325 0.030
O37 0.947 0.325 0.470
O38 0.950 0.777 0.008
O39 0.950 0.777 0.492
O40 0.962 0.665 0.250
```